The following is a simulated powder diffraction line list of MnSbPt. It was derived from the GGA-PBE geometry in the Materials Project, using a wavelength of 1.5418 Å.
Kinematic intensities with the Lorentz-polarization factor, no thermal factor.

Main lines, sorted by position (2θ = 5–70°):
d (Å)	intensity
3.546	15
3.071	63
2.172	100
1.852	7
1.773	18
1.536	16
1.409	3
1.373	23

Atomic structure:
a b c (Å): 4.343 4.343 4.343
angles (deg): 60.00 60.00 60.00
Sites, in units of the cell vectors:
Mn (0.000, 0.000, 0.000)
Sb (0.250, 0.250, 0.250)
Pt (0.750, 0.750, 0.750)

---

The following is a simulated powder diffraction line list of MnSbPt. It was derived from the GGA-PBE geometry in the Materials Project, using a wavelength of 1.5418 Å.
Kinematic intensities with the Lorentz-polarization factor, no thermal factor.

Main lines, sorted by position (2θ = 5–70°):
d (Å)	intensity
3.614	60
3.130	15
2.213	100
1.887	31
1.807	4
1.565	17
1.436	13
1.400	6

Atomic structure:
a b c (Å): 4.427 4.427 4.427
angles (deg): 60.00 60.00 60.00
Sites, in units of the cell vectors:
Mn (0.000, 0.000, 0.000)
Sb (0.750, 0.750, 0.750)
Pt (0.500, 0.500, 0.500)

---

The following is a simulated powder diffraction line list of PuMn2. It was derived from the GGA-PBE geometry in the Materials Project, using a wavelength of 1.5418 Å.
Kinematic intensities with the Lorentz-polarization factor, no thermal factor.

Main lines, sorted by position (2θ = 5–70°):
d (Å)	intensity
3.973	43
2.433	89
2.075	100
1.986	7
1.720	5
1.579	11
1.405	33

Atomic structure:
a b c (Å): 4.866 4.866 4.866
angles (deg): 60.00 60.00 60.00
Sites, in units of the cell vectors:
Pu (0.125, 0.125, 0.125)
Pu (0.875, 0.875, 0.875)
Mn (0.000, 0.500, 0.500)
Mn (0.500, 0.000, 0.500)
Mn (0.500, 0.500, 0.000)
Mn (0.500, 0.500, 0.500)

---

The following is a simulated powder diffraction line list of PuMn2Si2. It was derived from the GGA-PBE geometry in the Materials Project, using a wavelength of 1.5418 Å.
Kinematic intensities with the Lorentz-polarization factor, no thermal factor.

Main lines, sorted by position (2θ = 5–70°):
d (Å)	intensity
5.114	20
3.589	82
2.710	18
2.557	20
2.548	68
2.395	100
1.917	33
1.805	28
1.691	21
1.532	46

Atomic structure:
a b c (Å): 5.788 5.788 5.788
angles (deg): 141.33 141.33 55.85
Sites, in units of the cell vectors:
Pu (0.000, 0.000, 0.000)
Mn (0.250, 0.750, 0.500)
Mn (0.750, 0.250, 0.500)
Si (0.384, 0.384, 0.000)
Si (0.616, 0.616, 0.000)

---

The following is a simulated powder diffraction line list of Rb2MnS2. It was derived from the GGA-PBE geometry in the Materials Project, using a wavelength of 1.5418 Å.
Kinematic intensities with the Lorentz-polarization factor, no thermal factor.

Main lines, sorted by position (2θ = 5–70°):
d (Å)	intensity
3.882	51
3.769	67
3.212	42
3.042	100
2.862	28
2.730	43
2.390	33
2.310	62
2.026	30
1.758	33

Atomic structure:
a b c (Å): 8.207 8.207 8.207
angles (deg): 128.32 71.72 133.92
Sites, in units of the cell vectors:
Rb (0.148, 0.161, 0.309)
Rb (0.352, 0.661, 0.014)
Rb (0.648, 0.339, 0.986)
Rb (0.852, 0.839, 0.691)
Mn (0.250, 0.750, 0.500)
Mn (0.750, 0.250, 0.500)
S (0.099, 0.683, 0.781)
S (0.401, 0.183, 0.584)
S (0.599, 0.817, 0.416)
S (0.901, 0.317, 0.219)

---

The following is a simulated powder diffraction line list of Rb2MnSb2. It was derived from the GGA-PBE geometry in the Materials Project, using a wavelength of 1.5418 Å.
Kinematic intensities with the Lorentz-polarization factor, no thermal factor.

Main lines, sorted by position (2θ = 5–70°):
d (Å)	intensity
16.505	39
4.126	24
3.658	100
2.737	33
2.586	40
2.199	28
2.191	17
1.884	17
1.829	14
1.636	19

Atomic structure:
a b c (Å): 3.658 3.658 16.505
angles (deg): 90.00 90.00 90.00
Sites, in units of the cell vectors:
Rb (0.000, 0.000, 0.137)
Rb (0.000, 0.000, 0.863)
Mn (0.000, 0.000, 0.500)
Sb (0.000, 0.000, 0.344)
Sb (0.000, 0.000, 0.656)

---

The following is a simulated powder diffraction line list of Rb2Mn3Se4. It was derived from the GGA-PBE geometry in the Materials Project, using a wavelength of 1.5418 Å.
Kinematic intensities with the Lorentz-polarization factor, no thermal factor.

Main lines, sorted by position (2θ = 5–70°):
d (Å)	intensity
3.209	100
2.993	11
2.870	12
2.392	11
2.163	29
1.901	16
1.868	15
1.822	16
1.767	17
1.381	13

Atomic structure:
a b c (Å): 9.854 9.854 9.854
angles (deg): 142.95 105.19 86.55
Sites, in units of the cell vectors:
Rb (0.122, 0.237, 0.359)
Rb (0.378, 0.737, 0.115)
Rb (0.622, 0.263, 0.885)
Rb (0.878, 0.763, 0.641)
Mn (0.022, 0.250, 0.772)
Mn (0.250, 0.750, 0.500)
Mn (0.478, 0.250, 0.228)
Mn (0.522, 0.750, 0.772)
Mn (0.750, 0.250, 0.500)
Mn (0.978, 0.750, 0.228)
Se (0.014, 0.426, 0.146)
Se (0.220, 0.074, 0.588)
Se (0.280, 0.868, 0.854)
Se (0.486, 0.632, 0.412)
Se (0.514, 0.368, 0.588)
Se (0.720, 0.132, 0.146)
Se (0.780, 0.926, 0.412)
Se (0.986, 0.574, 0.854)

---

The following is a simulated powder diffraction line list of Rb2MnTe2. It was derived from the GGA-PBE geometry in the Materials Project, using a wavelength of 1.5418 Å.
Kinematic intensities with the Lorentz-polarization factor, no thermal factor.

Main lines, sorted by position (2θ = 5–70°):
d (Å)	intensity
6.861	43
3.708	70
3.578	88
3.317	100
3.029	61
2.803	67
2.677	55
2.627	66
2.575	98
1.748	67

Atomic structure:
a b c (Å): 9.097 9.097 9.097
angles (deg): 129.66 70.81 133.67
Sites, in units of the cell vectors:
Rb (0.144, 0.176, 0.320)
Rb (0.356, 0.676, 0.032)
Rb (0.644, 0.324, 0.968)
Rb (0.856, 0.824, 0.680)
Mn (0.250, 0.750, 0.500)
Mn (0.750, 0.250, 0.500)
Te (0.103, 0.689, 0.792)
Te (0.397, 0.189, 0.585)
Te (0.603, 0.811, 0.415)
Te (0.897, 0.311, 0.208)